[1]
CrNiO4: computed X-ray powder pattern (a wavelength of 1.5418 Å), based on a crystal structure in Alexandria, relaxed with GGA+U.

Most intense lines, 2θ from 10° to 90°, by angle:
Position (°2θ), I_rel
19.24, 26
21.22, 23
23.92, 71
25.56, 47
32.40, 43
34.52, 100
36.04, 55
48.98, 22
52.51, 19
59.16, 20
63.06, 39
70.87, 13

Structural model:
```
data_CrNiO4
_cell_length_a 5.017
_cell_length_b 5.017
_cell_length_c 6.289
_cell_angle_alpha 90.00
_cell_angle_beta 90.00
_cell_angle_gamma 113.16
_space_group_name_H-M_alt 'P 1'
_space_group_IT_number 1
loop_
_space_group_symop_operation_xyz
'x,y,z'
loop_
_atom_site_label
_atom_site_type_symbol
_atom_site_fract_x
_atom_site_fract_y
_atom_site_fract_z
Cr1 Cr 0.143 0.857 0.750
Cr2 Cr 0.857 0.143 0.250
Ni1 Ni 0.500 0.500 0.000
Ni2 Ni 0.500 0.500 0.500
O1 O 0.228 0.282 0.250
O2 O 0.257 0.743 0.540
O3 O 0.257 0.743 0.960
O4 O 0.282 0.228 0.750
O5 O 0.718 0.772 0.250
O6 O 0.743 0.257 0.040
O7 O 0.743 0.257 0.460
O8 O 0.772 0.718 0.750
```

---

[2]
CrNiO3: computed X-ray powder pattern (a wavelength of 1.5418 Å), based on a crystal structure in Alexandria, relaxed with GGA+U.

Most intense lines, 2θ from 10° to 90°, by angle:
Position (°2θ), I_rel
31.93, 60
32.25, 100
34.52, 52
36.39, 15
38.78, 25
52.46, 36
54.72, 25
55.96, 32
57.30, 15
62.89, 13
64.75, 13
66.31, 13

Structural model:
```
data_CrNiO3
_cell_length_a 5.513
_cell_length_b 5.513
_cell_length_c 6.132
_cell_angle_alpha 97.94
_cell_angle_beta 97.94
_cell_angle_gamma 35.44
_space_group_name_H-M_alt 'P 1'
_space_group_IT_number 1
loop_
_space_group_symop_operation_xyz
'x,y,z'
loop_
_atom_site_label
_atom_site_type_symbol
_atom_site_fract_x
_atom_site_fract_y
_atom_site_fract_z
Cr1 Cr 0.123 0.123 0.393
Cr2 Cr 0.877 0.877 0.607
Ni1 Ni 0.364 0.364 0.103
Ni2 Ni 0.636 0.636 0.897
O1 O 0.050 0.050 0.706
O2 O 0.172 0.172 0.109
O3 O 0.331 0.331 0.503
O4 O 0.669 0.669 0.497
O5 O 0.828 0.828 0.891
O6 O 0.950 0.950 0.294
```

---

[3]
CrNi2O4: computed X-ray powder pattern (a wavelength of 1.5418 Å), based on a crystal structure in Alexandria, relaxed with GGA+U.

Most intense lines, 2θ from 10° to 90°, by angle:
Position (°2θ), I_rel
18.29, 11
29.72, 16
30.27, 31
35.12, 100
36.08, 48
37.08, 13
42.53, 17
53.09, 11
56.30, 31
58.28, 13
61.72, 22
62.97, 41

Structural model:
```
data_CrNi2O4
_cell_length_a 6.012
_cell_length_b 6.012
_cell_length_c 8.206
_cell_angle_alpha 90.00
_cell_angle_beta 90.00
_cell_angle_gamma 90.00
_space_group_name_H-M_alt 'P 1'
_space_group_IT_number 1
loop_
_space_group_symop_operation_xyz
'x,y,z'
loop_
_atom_site_label
_atom_site_type_symbol
_atom_site_fract_x
_atom_site_fract_y
_atom_site_fract_z
Cr1 Cr 0.000 0.255 0.000
Cr2 Cr 0.000 0.745 0.500
Cr3 Cr 0.255 0.000 0.750
Cr4 Cr 0.745 0.000 0.250
Ni1 Ni 0.250 0.500 0.750
Ni2 Ni 0.253 0.253 0.375
Ni3 Ni 0.253 0.747 0.125
Ni4 Ni 0.500 0.250 0.000
Ni5 Ni 0.500 0.750 0.500
Ni6 Ni 0.747 0.253 0.625
Ni7 Ni 0.747 0.747 0.875
Ni8 Ni 0.750 0.500 0.250
O1 O 0.015 0.234 0.766
O2 O 0.015 0.766 0.734
O3 O 0.232 0.469 0.999
O4 O 0.232 0.531 0.501
O5 O 0.234 0.015 0.984
O6 O 0.234 0.985 0.516
O7 O 0.469 0.232 0.751
O8 O 0.469 0.768 0.749
O9 O 0.531 0.232 0.249
O10 O 0.531 0.768 0.251
O11 O 0.766 0.015 0.016
O12 O 0.766 0.985 0.484
O13 O 0.768 0.469 0.001
O14 O 0.768 0.531 0.499
O15 O 0.985 0.234 0.234
O16 O 0.985 0.766 0.266
```

---

[4]
Cr3NiTe2P6O24: computed X-ray powder pattern (a wavelength of 1.5418 Å), based on a crystal structure in Alexandria, relaxed with GGA+U.

Most intense lines, 2θ from 10° to 90°, by angle:
Position (°2θ), I_rel
14.35, 25
20.56, 100
23.95, 60
25.16, 27
32.14, 87
32.70, 20
36.00, 38
44.00, 16
46.20, 26
49.03, 32
56.34, 24
62.31, 24

Structural model:
```
data_Cr3NiTe2P6O24
_cell_length_a 8.829
_cell_length_b 8.829
_cell_length_c 8.829
_cell_angle_alpha 58.60
_cell_angle_beta 58.60
_cell_angle_gamma 58.60
_space_group_name_H-M_alt 'P 1'
_space_group_IT_number 1
loop_
_space_group_symop_operation_xyz
'x,y,z'
loop_
_atom_site_label
_atom_site_type_symbol
_atom_site_fract_x
_atom_site_fract_y
_atom_site_fract_z
Cr1 Cr 0.000 0.000 0.000
Cr2 Cr 0.210 0.210 0.210
Cr3 Cr 0.706 0.706 0.706
Ni1 Ni 0.507 0.507 0.507
Te1 Te 0.366 0.366 0.366
Te2 Te 0.858 0.858 0.858
P1 P 0.099 0.390 0.815
P2 P 0.312 0.895 0.602
P3 P 0.390 0.815 0.099
P4 P 0.602 0.312 0.895
P5 P 0.815 0.099 0.390
P6 P 0.895 0.602 0.312
O1 O 0.053 0.234 0.841
O2 O 0.094 0.440 0.286
O3 O 0.116 0.921 0.774
O4 O 0.161 0.358 0.963
O5 O 0.234 0.841 0.053
O6 O 0.270 0.413 0.612
O7 O 0.286 0.094 0.440
O8 O 0.332 0.744 0.553
O9 O 0.358 0.963 0.161
O10 O 0.413 0.612 0.270
O11 O 0.440 0.286 0.094
O12 O 0.467 0.863 0.655
O13 O 0.553 0.332 0.744
O14 O 0.585 0.787 0.936
O15 O 0.612 0.270 0.413
O16 O 0.655 0.467 0.863
O17 O 0.744 0.553 0.332
O18 O 0.774 0.116 0.921
O19 O 0.787 0.936 0.585
O20 O 0.841 0.053 0.234
O21 O 0.863 0.655 0.467
O22 O 0.921 0.774 0.116
O23 O 0.936 0.585 0.787
O24 O 0.963 0.161 0.358
```

---

[5]
SrPr3CrNiO8: computed X-ray powder pattern (a wavelength of 1.5418 Å), based on a crystal structure in Alexandria, relaxed with GGA+U.

Most intense lines, 2θ from 10° to 90°, by angle:
Position (°2θ), I_rel
23.94, 27
28.67, 14
31.49, 100
32.51, 76
43.10, 21
43.89, 34
46.64, 39
55.42, 11
57.37, 37
65.37, 11
68.09, 12
77.50, 12

Structural model:
```
data_SrPr3CrNiO8
_cell_length_a 5.511
_cell_length_b 6.809
_cell_length_c 6.809
_cell_angle_alpha 47.69
_cell_angle_beta 90.00
_cell_angle_gamma 90.00
_space_group_name_H-M_alt 'P 1'
_space_group_IT_number 1
loop_
_space_group_symop_operation_xyz
'x,y,z'
loop_
_atom_site_label
_atom_site_type_symbol
_atom_site_fract_x
_atom_site_fract_y
_atom_site_fract_z
Sr1 Sr 0.000 0.000 0.000
Pr1 Pr 0.000 0.278 0.278
Pr2 Pr 0.500 0.507 0.507
Pr3 Pr 0.500 0.782 0.782
Cr1 Cr 0.000 0.642 0.642
Ni1 Ni 0.500 0.139 0.139
O1 O 0.000 0.470 0.470
O2 O 0.000 0.806 0.806
O3 O 0.252 0.401 0.892
O4 O 0.252 0.892 0.401
O5 O 0.500 0.321 0.321
O6 O 0.500 0.967 0.967
O7 O 0.748 0.401 0.892
O8 O 0.748 0.892 0.401
```

---

[6]
Sr2Pr2CrNiO8: computed X-ray powder pattern (a wavelength of 1.5418 Å), based on a crystal structure in Alexandria, relaxed with GGA+U.

Most intense lines, 2θ from 10° to 90°, by angle:
Position (°2θ), I_rel
24.14, 17
31.50, 100
32.75, 36
32.96, 36
42.87, 17
43.07, 12
43.84, 15
44.00, 15
47.15, 37
57.68, 18
57.95, 19
65.75, 17

Structural model:
```
data_Sr2Pr2CrNiO8
_cell_length_a 5.468
_cell_length_b 6.862
_cell_length_c 6.862
_cell_angle_alpha 46.66
_cell_angle_beta 90.00
_cell_angle_gamma 90.00
_space_group_name_H-M_alt 'P 1'
_space_group_IT_number 1
loop_
_space_group_symop_operation_xyz
'x,y,z'
loop_
_atom_site_label
_atom_site_type_symbol
_atom_site_fract_x
_atom_site_fract_y
_atom_site_fract_z
Sr1 Sr 0.000 0.000 0.000
Sr2 Sr 0.500 0.209 0.209
Pr1 Pr 0.000 0.716 0.716
Pr2 Pr 0.500 0.492 0.492
Cr1 Cr 0.000 0.353 0.353
Ni1 Ni 0.500 0.856 0.856
O1 O 0.000 0.195 0.195
O2 O 0.000 0.526 0.526
O3 O 0.241 0.110 0.598
O4 O 0.241 0.598 0.110
O5 O 0.500 0.020 0.020
O6 O 0.500 0.676 0.676
O7 O 0.759 0.110 0.598
O8 O 0.759 0.598 0.110
```